Starting from a cell relaxed with PBE, the powder diffractogram of SO4 was calculated for Cu Kα (weighted mean of Kα1 and Kα2).
Intensities are scaled so that the largest is 100.

Peak list (10 most intense, 15° ≤ 2θ ≤ 90°, low angle first)
2θ = 21.04°, 4.223 Å, intensity 60
2θ = 21.25°, 4.181 Å, intensity 93
2θ = 21.93°, 4.052 Å, intensity 100
2θ = 24.29°, 3.665 Å, intensity 37
2θ = 25.49°, 3.494 Å, intensity 42
2θ = 27.04°, 3.298 Å, intensity 85
2θ = 36.07°, 2.490 Å, intensity 26
2θ = 42.93°, 2.107 Å, intensity 18
2θ = 44.27°, 2.046 Å, intensity 13
2θ = 46.69°, 1.945 Å, intensity 10

Crystal structure
Cell lengths 4.985, 4.985, 9.070 Å; angles 108.54, 108.54, 58.63 degrees
Fractional coordinates of all 10 atoms:
1 S 0.090 0.910 0.500
2 S 0.910 0.090 0.000
3 O 0.070 0.229 0.576
4 O 0.229 0.070 0.076
5 O 0.249 0.758 0.360
6 O 0.271 0.730 0.632
7 O 0.730 0.271 0.132
8 O 0.758 0.249 0.860
9 O 0.774 0.918 0.430
10 O 0.918 0.774 0.930